Entry 1:
# YCo2SiB
Simulated PXRD pattern, copper Kα. Input: a crystal structure in OQMD, relaxed with GGA-PBE.

```
data_YCo2SiB
_symmetry_space_group_name_H-M 'I 4 m m'
_symmetry_Int_Tables_number 107
_symmetry_space_group_name_Hall 'I 4 -2'
_cell_length_a 3.7308
_cell_length_b 3.7308
_cell_length_c 9.3725
_cell_angle_alpha 90.00
_cell_angle_beta 90.00
_cell_angle_gamma 90.00
loop_
_atom_site_label
_atom_site_type_symbol
_atom_site_fract_x
_atom_site_fract_y
_atom_site_fract_z
_atom_site_occupancy
Y1 Y 0.0000 0.0000 0.0000 1
Co1 Co 0.0000 0.5000 0.2681 1
Si1 Si 0.0000 0.0000 0.6325 1
B1 B 0.0000 0.0000 0.3714 1
```

Principal peaks in the range 10° ≤ 2θ ≤ 90°, by angle:
hkl  2θ (°)  d_spacing  intensity
1 0 1  25.70  3.466  30
1 0 3  37.55  2.395  35
0 0 4  38.42  2.343  17
1 1 2  39.19  2.299  100
2 0 0  48.82  1.865  35
2 1 3  63.18  1.472  15
2 0 4  63.77  1.459  14
1 1 6  70.00  1.344  15
2 2 0  71.53  1.319  10
3 1 2  84.73  1.144  19

Entry 2:
# ZrCo2SiB
Simulated PXRD pattern, copper Kα. Input: a crystal structure in OQMD, relaxed with GGA-PBE.

```
data_ZrCo2SiB
_symmetry_space_group_name_H-M 'I 4 m m'
_symmetry_Int_Tables_number 107
_symmetry_space_group_name_Hall 'I 4 -2'
_cell_length_a 3.6253
_cell_length_b 3.6253
_cell_length_c 9.0730
_cell_angle_alpha 90.00
_cell_angle_beta 90.00
_cell_angle_gamma 90.00
loop_
_atom_site_label
_atom_site_type_symbol
_atom_site_fract_x
_atom_site_fract_y
_atom_site_fract_z
_atom_site_occupancy
Zr1 Zr 0.0000 0.0000 0.0000 1
Co1 Co 0.0000 0.5000 0.2681 1
Si1 Si 0.0000 0.0000 0.6215 1
B1 B 0.0000 0.0000 0.3825 1
```

Principal peaks in the range 10° ≤ 2θ ≤ 90°, by angle:
hkl  2θ (°)  d_spacing  intensity
1 0 1  26.48  3.367  29
1 0 3  38.78  2.322  32
0 0 4  39.74  2.268  17
1 1 2  40.42  2.232  100
2 0 0  50.34  1.813  33
1 0 5  56.73  1.623  11
2 1 3  65.30  1.429  13
2 0 4  65.97  1.416  14
1 1 6  72.58  1.302  12
3 1 2  87.83  1.111  19

Entry 3:
# Sm4Co3B6
Simulated PXRD pattern, copper Kα. Input: a crystal structure in OQMD, relaxed with GGA-PBE.

```
data_Sm4Co3B6
_symmetry_space_group_name_H-M 'R -3 m'
_symmetry_Int_Tables_number 166
_symmetry_space_group_name_Hall '-R 3 2"'
_cell_length_a 5.3271
_cell_length_b 5.3271
_cell_length_c 22.5043
_cell_angle_alpha 90.00
_cell_angle_beta 90.00
_cell_angle_gamma 120.00
loop_
_atom_site_label
_atom_site_type_symbol
_atom_site_fract_x
_atom_site_fract_y
_atom_site_fract_z
_atom_site_occupancy
Sm1 Sm 0.0000 0.0000 0.0892 1
Sm2 Sm 0.0000 0.0000 0.2440 1
Co1 Co 0.0000 0.0000 0.3860 1
Co2 Co 0.0000 0.0000 0.5000 1
B1 B 0.0000 0.3329 0.0000 1
```

Principal peaks in the range 10° ≤ 2θ ≤ 90°, by angle:
hkl  2θ (°)  d_spacing  intensity
0 0 6  23.72  3.751  37
1 1 0  33.65  2.664  100
1 0 7  33.99  2.638  25
0 1 8  37.44  2.402  19
1 1 6  41.59  2.172  68
0 0 12  48.56  1.875  16
3 0 0  60.17  1.538  22
1 1 12  60.37  1.533  25
3 0 6  65.61  1.423  14
3 0 12  80.84  1.189  13

Entry 4:
# Ta2CoB
Simulated PXRD pattern, copper Kα. Input: a crystal structure in OQMD, relaxed with GGA-PBE.

```
data_Ta2CoB
_symmetry_space_group_name_H-M 'P 63/m m c'
_symmetry_Int_Tables_number 194
_symmetry_space_group_name_Hall '-P 6c 2c'
_cell_length_a 3.1495
_cell_length_b 3.1495
_cell_length_c 12.8237
_cell_angle_alpha 90.00
_cell_angle_beta 90.00
_cell_angle_gamma 120.00
loop_
_atom_site_label
_atom_site_type_symbol
_atom_site_fract_x
_atom_site_fract_y
_atom_site_fract_z
_atom_site_occupancy
Ta1 Ta 0.3333 0.6667 0.1044 1
Co1 Co 0.3333 0.6667 0.7500 1
B1 B 0.0000 0.0000 0.0000 1
```

Principal peaks in the range 10° ≤ 2θ ≤ 90°, by angle:
hkl  2θ (°)  d_spacing  intensity
0 0 4  27.83  3.206  20
1 0 0  32.84  2.728  28
1 0 1  33.59  2.668  24
1 0 3  39.18  2.299  100
1 0 4  43.57  2.077  11
1 1 0  58.62  1.575  24
1 0 7  60.92  1.521  16
1 1 4  66.11  1.413  12
2 0 3  72.79  1.299  16
1 1 6  74.90  1.268  12